This entry pairs a crystal structure of KEuSnWO6 with its simulated powder diffractogram. Radiation: Cu Kα. Structure: the GGA+U geometry in Alexandria.
Neutral-atom scattering factors, no anomalous dispersion.

The 12 most intense peaks (10° ≤ 2θ ≤ 90°), in order of rising 2θ:
- 20.9°, d 4.242, rel. 24
- 29.8°, d 2.999, rel. 100
- 42.6°, d 2.124, rel. 20
- 42.8°, d 2.115, rel. 10
- 47.9°, d 1.899, rel. 7
- 52.8°, d 1.733, rel. 27
- 53.0°, d 1.729, rel. 14
- 61.8°, d 1.502, rel. 6
- 61.9°, d 1.499, rel. 12
- 70.1°, d 1.343, rel. 12
- 85.6°, d 1.134, rel. 15
- 85.8°, d 1.132, rel. 7

Cell: 6.0075 6.0075 8.4593 Å, 90.00 90.00 90.00°
Positions (direct):
K: 0.0000 0.0000 0.2500
K: 0.0000 0.0000 0.7500
Eu: 0.0000 0.5000 0.0000
Eu: 0.5000 0.0000 0.5000
Sn: 0.5000 0.5000 0.2500
Sn: 0.5000 0.5000 0.7500
W: 0.0000 0.5000 0.5000
W: 0.5000 0.0000 0.0000
O: 0.0000 0.5000 0.2703
O: 0.0000 0.5000 0.7297
O: 0.2373 0.2774 0.5000
O: 0.2373 0.7226 0.5000
O: 0.2774 0.2373 0.0000
O: 0.2774 0.7627 0.0000
O: 0.5000 0.0000 0.2297
O: 0.5000 0.0000 0.7703
O: 0.7226 0.2373 0.0000
O: 0.7226 0.7627 0.0000
O: 0.7627 0.2774 0.5000
O: 0.7627 0.7226 0.5000